Structure and theoretical XRD peak list of VIr (the GGA-PBE geometry in the Materials Project; Cu Kα X-rays).
Lines closer than 0.1° are merged.

Main lines, sorted by position (2θ = 10–90°):
2theta	intensity	hkl
24.9	58	2 0 0
31.9	37	0 4 0
32.1	34	0 0 1
40.9	98	2 4 0
41.1	100	2 0 1
45.9	74	0 4 1
51.2	27	4 0 0
52.9	35	2 4 1
71.2	32	4 4 1
81.8	26	2 4 2

Crystal structure
abc: 7.140 11.225 2.785
angles: 90.00 90.00 90.00
Space group Cmmm (No. 65)
One atom of each set of equivalent atoms:
1 V 0.000 0.000 0.000
2 V 0.000 0.227 0.000
3 V 0.000 0.500 0.000
4 Ir 0.230 0.373 0.500